Diffraction record for Sr3CuN3. The PXRD pattern is calculated, not measured: it uses the GGA-PBE geometry in the Materials Project and Cu Ka.

Peak list (12 most intense, 10° ≤ 2θ ≤ 80°, low angle first)
d 6.560, 2θ 13.50, intensity 166; d 3.098, 2θ 28.82, intensity 1000; d 2.802, 2θ 31.95, intensity 780; d 2.693, 2θ 33.27, intensity 613; d 2.480, 2θ 36.23, intensity 476; d 2.187, 2θ 41.29, intensity 354; d 1.824, 2θ 50.00, intensity 356; d 1.819, 2θ 50.14, intensity 160; d 1.698, 2θ 54.02, intensity 311; d 1.622, 2θ 56.74, intensity 158; d 1.508, 2θ 61.51, intensity 171; d 1.450, 2θ 64.26, intensity 250

Structure:
```
14
Lattice="7.5743 0.0000 0.0000 0.0000 5.3862 0.0000 -3.7870 0.0000 6.5609" Properties=species:S:1:pos:R:3 pbc="T T T"
Sr -0.7934 1.3466 2.3654
Sr -1.3392 1.3466 6.0626
Sr 1.6572 4.0397 1.8751
Sr 2.1301 1.3466 4.6858
Sr 5.1265 4.0397 0.4983
Sr 4.5807 4.0397 4.1956
Cu -0.0015 4.0397 4.3713
Cu 3.7888 1.3466 2.1896
N -0.7859 4.0397 2.6509
N -1.0944 4.0397 5.9147
N 1.9053 1.3466 2.0091
N 1.8820 4.0397 4.5519
N 4.8817 1.3466 0.6462
N 4.5732 1.3466 3.9100
```

Diffraction record for Sr2CuN2. The PXRD pattern is calculated, not measured: it uses the GGA-PBE geometry in the Materials Project and Cu Ka.

Peak list (12 most intense, 10° ≤ 2θ ≤ 80°, low angle first)
d 2.844, 2θ 31.46, intensity 1000; d 2.709, 2θ 33.07, intensity 713; d 2.122, 2θ 42.60, intensity 153; d 2.063, 2θ 43.88, intensity 69; d 1.918, 2θ 47.40, intensity 123; d 1.913, 2θ 47.53, intensity 122; d 1.671, 2θ 54.96, intensity 236; d 1.590, 2θ 58.01, intensity 189; d 1.588, 2θ 58.10, intensity 176; d 1.423, 2θ 65.61, intensity 74; d 1.421, 2θ 65.71, intensity 73; d 1.354, 2θ 69.38, intensity 74

Structure:
```
5
Lattice="-1.9130 1.9181 6.3671 1.9130 -1.9181 6.3671 1.9130 1.9181 -6.3671" Properties=species:S:1:pos:R:3 pbc="T T T"
Sr 0.0000 0.0000 1.9407
Sr 0.0000 0.0000 10.7936
Cu 0.0000 0.0000 6.3671
N 0.0000 0.0000 4.5528
N 0.0000 0.0000 8.1814
```

Diffraction record for TaCuN2. The PXRD pattern is calculated, not measured: it uses the GGA-PBE geometry in the Materials Project and Cu Ka.

Peak list (12 most intense, 10° ≤ 2θ ≤ 80°, low angle first)
d 5.848, 2θ 15.15, intensity 549; d 2.924, 2θ 30.57, intensity 369; d 2.698, 2θ 33.20, intensity 127; d 2.607, 2θ 34.39, intensity 1000; d 2.318, 2θ 38.85, intensity 559; d 2.155, 2θ 41.92, intensity 162; d 1.710, 2θ 53.60, intensity 294; d 1.577, 2θ 58.54, intensity 239; d 1.476, 2θ 62.97, intensity 188; d 1.388, 2θ 67.49, intensity 236; d 1.349, 2θ 69.69, intensity 124; d 1.304, 2θ 72.50, intensity 92

Structure:
```
4
Lattice="1.5767 0.9103 5.8482 -1.5767 0.9103 5.8482 0.0000 -1.8206 5.8482" Properties=species:S:1:pos:R:3 pbc="T T T"
Ta 0.0000 0.0000 0.0000
Cu 0.0000 0.0000 8.7723
N 0.0000 0.0000 6.9135
N 0.0000 0.0000 10.6311
```

Diffraction record for TaCuN2. The PXRD pattern is calculated, not measured: it uses the GGA-PBE geometry in the Materials Project and Cu Ka.

Peak list (12 most intense, 10° ≤ 2θ ≤ 80°, low angle first)
d 5.035, 2θ 17.62, intensity 485; d 2.689, 2θ 33.33, intensity 263; d 2.569, 2θ 34.92, intensity 1000; d 2.517, 2θ 35.67, intensity 322; d 2.214, 2θ 40.76, intensity 991; d 1.577, 2θ 58.51, intensity 331; d 1.553, 2θ 59.52, intensity 305; d 1.505, 2θ 61.61, intensity 111; d 1.344, 2θ 69.99, intensity 138; d 1.337, 2θ 70.44, intensity 276; d 1.322, 2θ 71.35, intensity 136; d 1.285, 2θ 73.76, intensity 161

Structure:
```
4
Lattice="1.5775 0.9107 5.0345 -1.5775 0.9107 5.0345 0.0000 -1.8215 5.0345" Properties=species:S:1:pos:R:3 pbc="T T T"
Ta 0.0000 0.0000 0.0000
Cu 0.0000 0.0000 7.5518
N 0.0000 0.0000 3.9534
N 0.0000 0.0000 11.1502
```

Diffraction record for TiCu2N3. The PXRD pattern is calculated, not measured: it uses the GGA-PBE geometry in the Materials Project and Cu Ka.

Peak list (12 most intense, 10° ≤ 2θ ≤ 80°, low angle first)
d 4.110, 2θ 21.62, intensity 423; d 4.042, 2θ 21.99, intensity 272; d 2.906, 2θ 30.76, intensity 466; d 2.360, 2θ 38.14, intensity 1000; d 2.055, 2θ 44.06, intensity 754; d 2.021, 2θ 44.85, intensity 356; d 1.832, 2θ 49.77, intensity 136; d 1.659, 2θ 55.37, intensity 159; d 1.453, 2θ 64.08, intensity 214; d 1.441, 2θ 64.69, intensity 414; d 1.237, 2θ 77.08, intensity 243; d 1.222, 2θ 78.20, intensity 117

Structure:
```
6
Lattice="4.1102 0.0000 0.0000 0.0000 4.1102 0.0000 0.0000 0.0000 4.0421" Properties=species:S:1:pos:R:3 pbc="T T T"
Ti 0.0000 0.0000 0.0000
Cu 0.0000 2.0551 2.0211
Cu 2.0551 0.0000 2.0211
N 0.0000 0.0000 2.0211
N 0.0000 2.0551 0.0000
N 2.0551 0.0000 0.0000
```

Diffraction record for VCuN2. The PXRD pattern is calculated, not measured: it uses the GGA-PBE geometry in the Materials Project and Cu Ka.

Peak list (12 most intense, 10° ≤ 2θ ≤ 80°, low angle first)
d 4.602, 2θ 19.29, intensity 295; d 3.071, 2θ 29.07, intensity 629; d 2.659, 2θ 33.71, intensity 1000; d 2.322, 2θ 38.78, intensity 619; d 2.301, 2θ 39.15, intensity 431; d 2.047, 2θ 44.24, intensity 436; d 1.634, 2θ 56.29, intensity 272; d 1.603, 2θ 57.48, intensity 179; d 1.536, 2θ 60.27, intensity 315; d 1.448, 2θ 64.33, intensity 216; d 1.388, 2θ 67.49, intensity 214; d 1.226, 2θ 77.96, intensity 180

Structure:
```
8
Lattice="2.3220 -2.2860 0.0000 2.3220 2.2860 0.0000 0.0000 0.0000 9.2042" Properties=species:S:1:pos:R:3 pbc="T T T"
V 2.3220 1.5124 6.9032
V 2.3220 -1.5124 2.3011
Cu 2.3220 0.0000 0.0000
Cu 2.3220 0.0000 4.6021
N 2.3220 1.9057 5.1243
N 2.3220 1.9057 8.6821
N 2.3220 -1.9057 0.5222
N 2.3220 -1.9057 4.0799
```